Structure and simulated X-ray diffraction stick pattern of La2Ga2Pd3 (a GGA-PBE-relaxed structure; Cu Kα).
Kinematic intensities with the Lorentz-polarization factor, no thermal factor.

Principal peaks in the range 2θ from 10° to 90°, in order of falling intensity:
two_theta, I/Imax
32.69, 100.0
33.61, 90.6
42.96, 39.5
41.28, 32.2
30.07, 24.7
46.24, 22.4
61.09, 19.9
72.34, 17.5
36.87, 16.9
45.06, 13.6
35.25, 11.7
57.86, 10.3

Structure:
a = 9.9752 Å, b = 9.9752 Å, c = 7.3407 Å
α = 90.00°, β = 90.00°, γ = 155.63°
Fractional positions:
La1 0.0615 0.9385 0.7500
La2 0.1508 0.8492 0.2500
La3 0.8492 0.1508 0.7500
La4 0.9385 0.0615 0.2500
Ga1 0.3062 0.6938 0.0598
Ga2 0.3062 0.6938 0.4402
Ga3 0.6938 0.3062 0.5598
Ga4 0.6938 0.3062 0.9402
Pd1 0.2278 0.7722 0.7500
Pd2 0.4335 0.5665 0.5493
Pd3 0.4335 0.5665 0.9507
Pd4 0.5665 0.4335 0.0493
Pd5 0.5665 0.4335 0.4507
Pd6 0.7722 0.2278 0.2500

Structure and simulated X-ray diffraction stick pattern of La2Ga6Pd9 (a GGA-PBE-relaxed structure; Cu Kα).
Kinematic intensities with the Lorentz-polarization factor, no thermal factor.

Principal peaks in the range 2θ from 10° to 90°, in order of falling intensity:
two_theta, I/Imax
39.07, 100.0
43.37, 69.4
36.68, 63.5
66.05, 29.6
18.10, 27.2
61.36, 25.8
28.91, 25.6
45.61, 25.0
83.94, 24.7
59.90, 21.3
23.49, 18.1
82.77, 16.6

Structure:
a = 5.6584 Å, b = 5.6584 Å, c = 11.9329 Å
α = 90.00°, β = 90.00°, γ = 120.00°
Fractional positions:
La1 0.0000 0.0000 0.1970
La2 0.0000 0.0000 0.8030
Ga1 0.3333 0.6667 0.1639
Ga2 0.3333 0.6667 0.5000
Ga3 0.3333 0.6667 0.8361
Ga4 0.6667 0.3333 0.1639
Ga5 0.6667 0.3333 0.5000
Ga6 0.6667 0.3333 0.8361
Pd1 0.0000 0.5000 0.0000
Pd2 0.0000 0.5000 0.3326
Pd3 0.0000 0.5000 0.6674
Pd4 0.5000 0.0000 0.0000
Pd5 0.5000 0.0000 0.3326
Pd6 0.5000 0.0000 0.6674
Pd7 0.5000 0.5000 0.0000
Pd8 0.5000 0.5000 0.3326
Pd9 0.5000 0.5000 0.6674

Structure and simulated X-ray diffraction stick pattern of LaGa2Pd4 (a GGA-PBE-relaxed structure; Cu Kα).
Kinematic intensities with the Lorentz-polarization factor, no thermal factor.

Principal peaks in the range 2θ from 10° to 90°, in order of falling intensity:
two_theta, I/Imax
33.66, 100.0
42.46, 54.1
35.82, 42.7
39.14, 40.8
44.95, 29.9
47.28, 24.3
63.00, 23.1
58.77, 20.0
67.29, 16.4
75.66, 9.3
75.92, 8.5
81.19, 7.8

Structure:
a = 7.9266 Å, b = 7.9266 Å, c = 4.0329 Å
α = 90.00°, β = 90.00°, γ = 90.00°
Fractional positions:
La1 0.0000 0.0000 0.0000
La2 0.5000 0.5000 0.5000
Ga1 0.2220 0.2220 0.5000
Ga2 0.2780 0.7220 0.0000
Ga3 0.7220 0.2780 0.0000
Ga4 0.7780 0.7780 0.5000
Pd1 0.0826 0.6656 0.5000
Pd2 0.1656 0.4174 0.0000
Pd3 0.3344 0.9174 0.5000
Pd4 0.4174 0.1656 0.0000
Pd5 0.5826 0.8344 0.0000
Pd6 0.6656 0.0826 0.5000
Pd7 0.8344 0.5826 0.0000
Pd8 0.9174 0.3344 0.5000

Structure and simulated X-ray diffraction stick pattern of LaGa2PdPt5 (a GGA-PBE-relaxed structure; Cu Kα).
Kinematic intensities with the Lorentz-polarization factor, no thermal factor.

Principal peaks in the range 2θ from 10° to 90°, in order of falling intensity:
two_theta, I/Imax
44.85, 100.0
32.44, 97.0
23.22, 94.1
45.09, 77.9
35.22, 60.2
39.47, 48.1
51.32, 46.1
65.68, 40.2
83.06, 34.0
67.55, 31.8
47.48, 22.7
70.68, 18.9

Structure:
a = 4.0211 Å, b = 4.0211 Å, c = 11.4900 Å
α = 90.00°, β = 90.00°, γ = 90.00°
Fractional positions:
La1 0.0000 0.0000 0.0000
Ga1 0.5000 0.5000 0.2149
Ga2 0.5000 0.5000 0.7851
Pd1 0.0000 0.0000 0.5000
Pt1 0.0000 0.5000 0.3439
Pt2 0.0000 0.5000 0.6561
Pt3 0.5000 0.0000 0.3439
Pt4 0.5000 0.0000 0.6561
Pt5 0.5000 0.5000 0.0000

Structure and simulated X-ray diffraction stick pattern of La2Ga3PdPt12 (a GGA-PBE-relaxed structure; Cu Kα).
Kinematic intensities with the Lorentz-polarization factor, no thermal factor.

Principal peaks in the range 2θ from 10° to 90°, in order of falling intensity:
two_theta, I/Imax
31.36, 100.0
44.22, 65.4
45.67, 59.5
82.40, 20.8
55.21, 20.2
65.45, 20.0
73.30, 17.9
75.44, 15.8
22.38, 12.8
81.37, 11.0
85.50, 10.2
21.69, 9.9

Structure:
a = 7.9532 Å, b = 7.9532 Å, c = 7.9532 Å
α = 62.01°, β = 62.01°, γ = 62.01°
Fractional positions:
La1 0.1196 0.1196 0.1196
La2 0.8804 0.8804 0.8804
Ga1 0.0000 0.5000 0.5000
Ga2 0.5000 0.0000 0.5000
Ga3 0.5000 0.5000 0.0000
Pd1 0.5000 0.5000 0.5000
Pt1 0.1149 0.6348 0.6348
Pt2 0.1290 0.1290 0.6158
Pt3 0.1290 0.6158 0.1290
Pt4 0.3652 0.3652 0.8851
Pt5 0.3652 0.8851 0.3652
Pt6 0.3842 0.8710 0.8710
Pt7 0.6158 0.1290 0.1290
Pt8 0.6348 0.1149 0.6348
Pt9 0.6348 0.6348 0.1149
Pt10 0.8710 0.3842 0.8710
Pt11 0.8710 0.8710 0.3842
Pt12 0.8851 0.3652 0.3652

Structure and simulated X-ray diffraction stick pattern of La3GaSb2Pd9 (a GGA-PBE-relaxed structure; Cu Kα).
Kinematic intensities with the Lorentz-polarization factor, no thermal factor.

Principal peaks in the range 2θ from 10° to 90°, in order of falling intensity:
two_theta, I/Imax
36.44, 100.0
31.68, 54.9
53.15, 28.1
41.29, 26.1
25.85, 25.7
10.11, 25.4
45.22, 24.2
20.29, 18.1
69.43, 15.8
51.81, 15.7
43.38, 15.6
66.16, 15.0

Structure:
a = 6.8924 Å, b = 6.8924 Å, c = 8.7514 Å
α = 90.00°, β = 90.00°, γ = 120.00°
Fractional positions:
La1 0.0000 0.0000 0.0000
La2 0.3333 0.6667 0.7243
La3 0.6667 0.3333 0.2757
Ga1 0.0000 0.0000 0.5000
Sb1 0.3333 0.6667 0.2032
Sb2 0.6667 0.3333 0.7968
Pd1 0.0000 0.5000 0.0000
Pd2 0.1323 0.2646 0.2819
Pd3 0.1323 0.8677 0.2819
Pd4 0.2646 0.1323 0.7181
Pd5 0.5000 0.0000 0.0000
Pd6 0.5000 0.5000 0.0000
Pd7 0.7354 0.8677 0.2819
Pd8 0.8677 0.1323 0.7181
Pd9 0.8677 0.7354 0.7181

Structure and simulated X-ray diffraction stick pattern of La3Ga2SiPd6 (a GGA-PBE-relaxed structure; Cu Kα).
Kinematic intensities with the Lorentz-polarization factor, no thermal factor.

Principal peaks in the range 2θ from 10° to 90°, in order of falling intensity:
two_theta, I/Imax
37.38, 100.0
41.67, 44.4
31.06, 26.5
64.40, 22.2
20.52, 18.1
30.90, 15.4
73.21, 12.9
27.26, 12.5
48.13, 11.9
45.75, 11.7
56.28, 11.4
65.56, 10.6

Structure:
a = 5.7876 Å, b = 5.7876 Å, c = 8.6386 Å
α = 90.00°, β = 90.00°, γ = 120.00°
Fractional positions:
La1 0.0000 0.0000 0.0000
La2 0.3333 0.6667 0.6270
La3 0.6667 0.3333 0.3730
Ga1 0.3333 0.6667 0.0352
Ga2 0.6667 0.3333 0.9648
Si1 0.0000 0.0000 0.5000
Pd1 0.1715 0.3430 0.2877
Pd2 0.1715 0.8285 0.2877
Pd3 0.3430 0.1715 0.7123
Pd4 0.6570 0.8285 0.2877
Pd5 0.8285 0.1715 0.7123
Pd6 0.8285 0.6570 0.7123

Structure and simulated X-ray diffraction stick pattern of LaSmGa2Pd5 (a GGA-PBE-relaxed structure; Cu Kα).
Kinematic intensities with the Lorentz-polarization factor, no thermal factor.

Principal peaks in the range 2θ from 10° to 90°, in order of falling intensity:
two_theta, I/Imax
35.23, 100.0
41.84, 47.1
72.14, 24.1
41.65, 15.8
60.66, 15.4
58.51, 14.1
68.20, 13.5
38.98, 11.6
28.29, 11.3
35.81, 9.2
44.47, 8.5
74.50, 6.8

Structure:
a = 4.3178 Å, b = 4.3178 Å, c = 9.2419 Å
α = 90.00°, β = 90.00°, γ = 90.00°
Fractional positions:
La1 0.0000 0.0000 0.0000
Sm1 0.0000 0.0000 0.5000
Ga1 0.5000 0.5000 0.3634
Ga2 0.5000 0.5000 0.6366
Pd1 0.0000 0.5000 0.2275
Pd2 0.0000 0.5000 0.7725
Pd3 0.5000 0.0000 0.2275
Pd4 0.5000 0.0000 0.7725
Pd5 0.5000 0.5000 0.0000

Structure and simulated X-ray diffraction stick pattern of LaPm3Ga3 (a GGA-PBE-relaxed structure; Cu Kα).
Kinematic intensities with the Lorentz-polarization factor, no thermal factor.

Principal peaks in the range 2θ from 10° to 90°, in order of falling intensity:
two_theta, I/Imax
34.07, 100.0
36.97, 25.3
28.53, 25.0
28.32, 23.4
26.14, 16.6
51.67, 15.5
64.78, 15.3
32.45, 14.6
47.35, 12.4
50.52, 9.1
64.24, 8.8
50.00, 8.7

Structure:
a = 9.5591 Å, b = 9.5591 Å, c = 4.8624 Å
α = 90.00°, β = 90.00°, γ = 120.00°
Fractional positions:
La1 0.3333 0.6667 0.2500
La2 0.6667 0.3333 0.7500
Pm1 0.0225 0.2616 0.7500
Pm2 0.2392 0.9775 0.7500
Pm3 0.2616 0.2392 0.2500
Pm4 0.7384 0.7608 0.7500
Pm5 0.7608 0.0225 0.2500
Pm6 0.9775 0.7384 0.2500
Ga1 0.0568 0.6059 0.7500
Ga2 0.3941 0.4510 0.7500
Ga3 0.4510 0.0568 0.2500
Ga4 0.5490 0.9432 0.7500
Ga5 0.6059 0.5490 0.2500
Ga6 0.9432 0.3941 0.2500

Structure and simulated X-ray diffraction stick pattern of La2Pm2ZnGa4 (a GGA-PBE-relaxed structure; Cu Kα).
Kinematic intensities with the Lorentz-polarization factor, no thermal factor.

Principal peaks in the range 2θ from 10° to 90°, in order of falling intensity:
two_theta, I/Imax
32.01, 100.0
35.52, 68.2
61.59, 29.5
32.45, 27.3
24.91, 23.8
51.11, 23.7
41.33, 23.0
54.71, 16.5
55.61, 13.9
76.35, 12.2
65.03, 10.6
40.20, 10.5

Structure:
a = 6.7591 Å, b = 6.7591 Å, c = 6.7591 Å
α = 116.15°, β = 116.15°, γ = 96.81°
Fractional positions:
La1 0.2500 0.7500 0.5000
La2 0.7500 0.2500 0.5000
Pm1 0.1838 0.1838 0.0000
Pm2 0.8162 0.8162 0.0000
Zn1 0.5000 0.5000 0.0000
Ga1 0.2594 0.2594 0.5188
Ga2 0.2594 0.7406 0.0000
Ga3 0.7406 0.2594 0.0000
Ga4 0.7406 0.7406 0.4812

Structure and simulated X-ray diffraction stick pattern of La3Pm3Zn2Ga (a GGA-PBE-relaxed structure; Cu Kα).
Kinematic intensities with the Lorentz-polarization factor, no thermal factor.

Principal peaks in the range 2θ from 10° to 90°, in order of falling intensity:
two_theta, I/Imax
29.47, 100.0
32.14, 57.5
33.60, 35.9
38.26, 29.8
60.74, 24.7
39.74, 22.2
52.99, 19.6
56.34, 19.1
50.80, 12.9
46.39, 11.3
39.18, 10.5
65.88, 10.0

Structure:
a = 8.1492 Å, b = 8.1492 Å, c = 4.5367 Å
α = 90.00°, β = 90.00°, γ = 120.00°
Fractional positions:
La1 0.0000 0.7282 0.0000
La2 0.2718 0.2718 0.0000
La3 0.7282 0.0000 0.0000
Pm1 0.0000 0.4043 0.5000
Pm2 0.4043 0.0000 0.5000
Pm3 0.5957 0.5957 0.5000
Zn1 0.3333 0.6667 0.0000
Zn2 0.6667 0.3333 0.0000
Ga1 0.0000 0.0000 0.5000

Structure and simulated X-ray diffraction stick pattern of La4PrGa3 (a GGA-PBE-relaxed structure; Cu Kα).
Kinematic intensities with the Lorentz-polarization factor, no thermal factor.

Principal peaks in the range 2θ from 10° to 90°, in order of falling intensity:
two_theta, I/Imax
32.53, 100.0
33.35, 79.2
29.93, 66.8
35.75, 33.3
52.56, 25.8
29.04, 22.5
52.02, 20.0
54.28, 19.6
62.18, 17.6
66.65, 13.8
70.10, 13.7
83.95, 12.3

Structure:
a = 9.2343 Å, b = 9.2343 Å, c = 9.2343 Å
α = 96.37°, β = 96.37°, γ = 141.10°
Fractional positions:
La1 0.0880 0.7827 0.8706
La2 0.2173 0.0880 0.3053
La3 0.2827 0.5880 0.8706
La4 0.4120 0.2827 0.6947
La5 0.5880 0.7173 0.3053
La6 0.7173 0.4120 0.1294
La7 0.7827 0.9120 0.6947
La8 0.9120 0.2173 0.1294
Pr1 0.2500 0.7500 0.5000
Pr2 0.7500 0.2500 0.5000
Ga1 0.1587 0.3413 0.5000
Ga2 0.2500 0.2500 0.0000
Ga3 0.3413 0.8413 0.1826
Ga4 0.6587 0.1587 0.8174
Ga5 0.7500 0.7500 0.0000
Ga6 0.8413 0.6587 0.5000

Structure and simulated X-ray diffraction stick pattern of La2Pr3Ga2 (a GGA-PBE-relaxed structure; Cu Kα).
Kinematic intensities with the Lorentz-polarization factor, no thermal factor.

Principal peaks in the range 2θ from 10° to 90°, in order of falling intensity:
two_theta, I/Imax
29.82, 100.0
31.25, 84.3
28.72, 62.3
33.19, 49.1
29.70, 43.6
42.24, 39.9
32.25, 39.5
36.83, 38.4
52.48, 34.5
25.99, 31.5
34.73, 29.7
55.31, 23.4

Structure:
a = 6.6607 Å, b = 6.6607 Å, c = 9.0561 Å
α = 112.46°, β = 112.46°, γ = 37.48°
Fractional positions:
La1 0.1558 0.1558 0.3163
La2 0.8442 0.8442 0.6837
Pr1 0.3787 0.3787 0.0596
Pr2 0.5000 0.5000 0.5000
Pr3 0.6213 0.6213 0.9404
Ga1 0.1697 0.1697 0.7178
Ga2 0.8303 0.8303 0.2822